Computed X-ray diffraction stick pattern
Compound: SrYB6C6
Radiation: Cu Kα
Structure: a structure optimized by DFT (GGA-PBE)

Cell lengths 4.8484, 4.8484, 4.8484 Å; angles 90.00, 90.00, 90.00 degrees
Element x y z (fractional)
1 Sr 0.0000 0.0000 0.0000
2 Y 0.5000 0.5000 0.5000
3 B 0.0000 0.2508 0.5000
4 B 0.0000 0.7492 0.5000
5 B 0.2508 0.5000 0.0000
6 B 0.5000 0.0000 0.2508
7 B 0.5000 0.0000 0.7492
8 B 0.7492 0.5000 0.0000
9 C 0.0000 0.5000 0.2549
10 C 0.0000 0.5000 0.7451
11 C 0.2549 0.0000 0.5000
12 C 0.5000 0.2549 0.0000
13 C 0.5000 0.7451 0.0000
14 C 0.7451 0.0000 0.5000

Peak list (9 most intense, 10° ≤ 2θ ≤ 90°, low angle first)
| two_theta | I (rel.) |
| --- | --- |
| 25.99 | 100 |
| 37.09 | 48 |
| 45.84 | 100 |
| 53.45 | 15 |
| 60.37 | 21 |
| 66.85 | 2 |
| 73.02 | 47 |
| 78.99 | 8 |
| 84.85 | 12 |

---

Computed X-ray diffraction stick pattern
Compound: Tb2B4C
Radiation: Cu Kα
Structure: a structure optimized by DFT (GGA-PBE)

Cell lengths 5.2974, 5.2974, 5.2974 Å; angles 143.89, 103.30, 87.83 degrees
Element x y z (fractional)
1 Tb 0.2349 0.2349 0.0000
2 Tb 0.7651 0.7651 0.0000
3 B 0.2271 0.5000 0.7271
4 B 0.3650 0.0000 0.3650
5 B 0.6350 0.0000 0.6350
6 B 0.7729 0.5000 0.2729
7 C 0.0000 0.5000 0.5000

Peak list (10 most intense, 10° ≤ 2θ ≤ 90°, low angle first)
| two_theta | I (rel.) |
| --- | --- |
| 23.31 | 56 |
| 27.13 | 55 |
| 30.43 | 72 |
| 36.06 | 55 |
| 38.68 | 100 |
| 50.04 | 23 |
| 55.91 | 36 |
| 57.60 | 21 |
| 61.45 | 20 |
| 68.45 | 17 |

---

Computed X-ray diffraction stick pattern
Compound: TbBC
Radiation: Cu Kα
Structure: a structure optimized by DFT (GGA-PBE)

Cell lengths 6.6591, 6.6591, 3.6482 Å; angles 94.42, 94.42, 31.69 degrees
Element x y z (fractional)
1 Tb 0.1488 0.1488 0.2101
2 Tb 0.8512 0.8512 0.7899
3 B 0.4485 0.4485 0.3560
4 B 0.5515 0.5515 0.6440
5 C 0.3364 0.3364 0.2793
6 C 0.6636 0.6636 0.7207

Peak list (10 most intense, 10° ≤ 2θ ≤ 90°, low angle first)
| two_theta | I (rel.) |
| --- | --- |
| 13.87 | 35 |
| 25.47 | 54 |
| 27.23 | 50 |
| 27.95 | 62 |
| 29.22 | 66 |
| 32.38 | 96 |
| 35.21 | 100 |
| 36.02 | 39 |
| 48.81 | 37 |
| 50.18 | 36 |

---

Computed X-ray diffraction stick pattern
Compound: TbB2C2
Radiation: Cu Kα
Structure: a structure optimized by DFT (GGA-PBE)

Cell lengths 3.8010, 3.8010, 7.2609 Å; angles 90.00, 90.00, 90.00 degrees
Element x y z (fractional)
1 Tb 0.0000 0.0000 0.2500
2 Tb 0.0000 0.0000 0.7500
3 B 0.2154 0.5000 0.0000
4 B 0.5000 0.2154 0.5000
5 B 0.5000 0.7846 0.5000
6 B 0.7846 0.5000 0.0000
7 C 0.1876 0.5000 0.5000
8 C 0.5000 0.1876 0.0000
9 C 0.5000 0.8124 0.0000
10 C 0.8124 0.5000 0.5000

Peak list (10 most intense, 10° ≤ 2θ ≤ 90°, low angle first)
| two_theta | I (rel.) |
| --- | --- |
| 23.40 | 91 |
| 24.52 | 26 |
| 33.34 | 39 |
| 34.15 | 100 |
| 41.82 | 56 |
| 53.94 | 29 |
| 54.50 | 22 |
| 56.15 | 18 |
| 60.10 | 27 |
| 76.83 | 20 |